Starting from the PBE+U geometry in Alexandria, the powder diffraction line list of PrCuW2O8 was computed for Cu Kα, 1.54184 Å.
Peak positions follow from Bragg's law for the DFT cell and can differ from measured ones.

Structural model:
```
PrCuW2O8
1.0
7.309 0.000 0.000
-0.201 7.515 0.000
-3.299 -3.257 6.106
Pr Cu W O
2 2 4 16
direct
0.183 0.285 0.461
0.817 0.715 0.539
0.224 0.676 0.958
0.776 0.324 0.042
0.272 0.297 0.038
0.354 0.899 0.711
0.646 0.101 0.289
0.728 0.703 0.962
0.053 0.311 0.099
0.144 0.995 0.804
0.175 0.644 0.553
0.198 0.366 0.815
0.294 0.996 0.520
0.387 0.170 0.258
0.464 0.532 0.266
0.477 0.826 0.004
0.523 0.174 0.996
0.536 0.468 0.734
0.613 0.830 0.742
0.706 0.004 0.480
0.802 0.634 0.185
0.825 0.356 0.447
0.856 0.005 0.196
0.947 0.689 0.901
```

Principal peaks in the range 15° ≤ 2θ ≤ 90°, most intense first:
- 2θ = 29.0°, I 100
- 2θ = 27.9°, I 60
- 2θ = 34.8°, I 38
- 2θ = 21.6°, I 37
- 2θ = 24.0°, I 35
- 2θ = 27.0°, I 29